Starting from a PBE-relaxed structure, the powder diffractogram of La2SbRhC was calculated for CuKα.
Lines closer than 0.1° are merged.

Main lines, sorted by position (10 to 90 degrees two-theta):
- 32.39°, d = 2.764 Å, intensity 1000, hkl 1 1 1
- 32.82°, d = 2.729 Å, intensity 527, hkl 2 0 0
- 45.82°, d = 1.980 Å, intensity 103, hkl 0 0 2
- 47.10°, d = 1.930 Å, intensity 189, hkl 2 2 0
- 57.50°, d = 1.603 Å, intensity 206, hkl 2 0 2
- 58.32°, d = 1.582 Å, intensity 370, hkl 3 1 1
- 67.81°, d = 1.382 Å, intensity 125, hkl 2 2 2
- 76.22°, d = 1.249 Å, intensity 84, hkl 1 1 3
- 78.12°, d = 1.223 Å, intensity 78, hkl 3 3 1
- 78.35°, d = 1.220 Å, intensity 83, hkl 4 2 0

Structural model:
Lattice parameters (Å, degrees): 5.458 5.458 3.961 90.00 90.00 90.00
Fractional coordinates of all 5 atoms:
La 0.000 0.500 0.000
La 0.500 0.000 0.000
Sb 0.000 0.000 0.500
Rh 0.500 0.500 0.500
C 0.500 0.500 0.000


Starting from a PBE-relaxed structure, the powder diffractogram of Y2ScPaS4 was calculated for CuKα.
Lines closer than 0.1° are merged.

Main lines, sorted by position (10 to 90 degrees two-theta):
- 13.97°, d = 6.341 Å, intensity 264, hkl 0 0 1
- 16.25°, d = 5.454 Å, intensity 163, hkl 1 0 -1
- 27.19°, d = 3.279 Å, intensity 127, hkl 1 1 0
- 28.16°, d = 3.168 Å, intensity 290, hkl 2 0 0
- 28.46°, d = 3.136 Å, intensity 282, hkl 1 1 -1
- 32.81°, d = 2.730 Å, intensity 1000, hkl 1 1 1
- 46.67°, d = 1.946 Å, intensity 120, hkl 2 0 2
- 47.04°, d = 1.932 Å, intensity 235, hkl 1 1 -3
- 47.14°, d = 1.928 Å, intensity 233, hkl 3 1 -1
- 58.89°, d = 1.568 Å, intensity 118, hkl 2 2 -2

Structural model:
Lattice parameters (Å, degrees): 6.691 3.834 6.710 90.00 108.97 90.00
Fractional coordinates of all 8 atoms:
Y 0.000 0.000 0.000
Y 0.000 0.500 0.500
Sc 0.500 0.000 0.500
Pa 0.500 0.500 0.000
S 0.254 0.000 0.742
S 0.261 0.500 0.261
S 0.739 0.500 0.739
S 0.746 0.000 0.258


What did the second record say?
Starting from a PBE-relaxed structure, the powder diffractogram of Y2ScPaS4 was calculated for CuKα.
Lines closer than 0.1° are merged.

Main lines, sorted by position (10 to 90 degrees two-theta):
- 13.97°, d = 6.341 Å, intensity 264, hkl 0 0 1
- 16.25°, d = 5.454 Å, intensity 163, hkl 1 0 -1
- 27.19°, d = 3.279 Å, intensity 127, hkl 1 1 0
- 28.16°, d = 3.168 Å, intensity 290, hkl 2 0 0
- 28.46°, d = 3.136 Å, intensity 282, hkl 1 1 -1
- 32.81°, d = 2.730 Å, intensity 1000, hkl 1 1 1
- 46.67°, d = 1.946 Å, intensity 120, hkl 2 0 2
- 47.04°, d = 1.932 Å, intensity 235, hkl 1 1 -3
- 47.14°, d = 1.928 Å, intensity 233, hkl 3 1 -1
- 58.89°, d = 1.568 Å, intensity 118, hkl 2 2 -2

Structural model:
Lattice parameters (Å, degrees): 6.691 3.834 6.710 90.00 108.97 90.00
Fractional coordinates of all 8 atoms:
Y 0.000 0.000 0.000
Y 0.000 0.500 0.500
Sc 0.500 0.000 0.500
Pa 0.500 0.500 0.000
S 0.254 0.000 0.742
S 0.261 0.500 0.261
S 0.739 0.500 0.739
S 0.746 0.000 0.258


Please write out number 2 again, unchanged.
Starting from a PBE-relaxed structure, the powder diffractogram of Y2ScPaS4 was calculated for CuKα.
Lines closer than 0.1° are merged.

Main lines, sorted by position (10 to 90 degrees two-theta):
- 13.97°, d = 6.341 Å, intensity 264, hkl 0 0 1
- 16.25°, d = 5.454 Å, intensity 163, hkl 1 0 -1
- 27.19°, d = 3.279 Å, intensity 127, hkl 1 1 0
- 28.16°, d = 3.168 Å, intensity 290, hkl 2 0 0
- 28.46°, d = 3.136 Å, intensity 282, hkl 1 1 -1
- 32.81°, d = 2.730 Å, intensity 1000, hkl 1 1 1
- 46.67°, d = 1.946 Å, intensity 120, hkl 2 0 2
- 47.04°, d = 1.932 Å, intensity 235, hkl 1 1 -3
- 47.14°, d = 1.928 Å, intensity 233, hkl 3 1 -1
- 58.89°, d = 1.568 Å, intensity 118, hkl 2 2 -2

Structural model:
Lattice parameters (Å, degrees): 6.691 3.834 6.710 90.00 108.97 90.00
Fractional coordinates of all 8 atoms:
Y 0.000 0.000 0.000
Y 0.000 0.500 0.500
Sc 0.500 0.000 0.500
Pa 0.500 0.500 0.000
S 0.254 0.000 0.742
S 0.261 0.500 0.261
S 0.739 0.500 0.739
S 0.746 0.000 0.258